Diffraction record for MnRe2Rh. The powder diffraction line list is theoretical, not measured: it uses a DFT-relaxed cell (GGA-PBE, Alexandria) and Cu Kα.
Intensities are scaled so that the largest is 100.

Cell and atoms:
```
data_MnRe2Rh
_chemical_formula_sum 'Mn1 Re2 Rh1'
_cell_length_a 2.6983
_cell_length_b 2.6983
_cell_length_c 7.5283
_cell_angle_alpha 90.00
_cell_angle_beta 90.00
_cell_angle_gamma 90.00
_space_group_name_H-M_alt 'P 4/m m m'
_space_group_IT_number 123
_space_group_name_Hall '-P 4 2'
loop_
_atom_site_label
_atom_site_type_symbol
_atom_site_fract_x
_atom_site_fract_y
_atom_site_fract_z
Mn1 Mn 0.0000 0.0000 0.0000
Re1 Re 0.5000 0.5000 0.2329
Rh1 Rh 0.0000 0.0000 0.5000
```

Most intense lines, 2θ = 10–90°, in order of rising 2θ:
two_theta	d/Å	Rel. int.	h k l
23.6	3.764	15	0 0 2
33.2	2.698	14	1 0 0
41.2	2.193	100	1 0 2
47.7	1.908	34	1 1 0
48.4	1.882	14	0 0 4
69.7	1.349	11	2 0 0
70.3	1.340	18	1 1 4
84.3	1.149	25	2 1 2
85.3	1.138	9	1 0 6
89.3	1.097	10	2 0 4